1.
This entry pairs a crystal structure of LiMgFe10O16 with its theoretical PXRD pattern. Radiation: Cu Kα X-rays. Structure: DFT lattice parameters and positions (PBE+U).

Peak list (12 most intense, 10° ≤ 2θ ≤ 90°, most intense first)
2theta, I (rel.)
35.7, 100
30.3, 29
43.4, 24
63.2, 24
57.5, 23
63.0, 22
18.4, 21
57.4, 13
74.7, 8
53.9, 8
37.4, 7
17.7, 6

Structure:
abc: 10.2224 10.2224 10.2224
angles: 33.47 33.47 33.47
Positions (direct):
Li: 0.0000 0.0000 0.0000
Mg: 0.1909 0.1909 0.1909
Fe: 0.2475 0.2475 0.7523
Fe: 0.2475 0.7523 0.2475
Fe: 0.2528 0.7515 0.7515
Fe: 0.3091 0.3091 0.3091
Fe: 0.5020 0.5020 0.5020
Fe: 0.6915 0.6915 0.6915
Fe: 0.7523 0.2475 0.2475
Fe: 0.7515 0.2528 0.7515
Fe: 0.7515 0.7515 0.2528
Fe: 0.8108 0.8108 0.8108
O: 0.1116 0.1116 0.6426
O: 0.1116 0.6426 0.1116
O: 0.1198 0.1198 0.1198
O: 0.1388 0.6110 0.6110
O: 0.3579 0.8896 0.8896
O: 0.3786 0.3786 0.3786
O: 0.3945 0.3945 0.8570
O: 0.3945 0.8570 0.3945
O: 0.6110 0.1388 0.6110
O: 0.6110 0.6110 0.1388
O: 0.6241 0.6241 0.6241
O: 0.6426 0.1116 0.1116
O: 0.8570 0.3945 0.3945
O: 0.8785 0.8785 0.8785
O: 0.8896 0.3579 0.8896
O: 0.8896 0.8896 0.3579

2.
This entry pairs a crystal structure of LiMg6FeO8 with its theoretical PXRD pattern. Radiation: Cu Kα X-rays. Structure: DFT lattice parameters and positions (PBE+U).

Peak list (12 most intense, 10° ≤ 2θ ≤ 90°, most intense first)
2theta, I (rel.)
43.0, 100
61.8, 57
42.2, 53
23.5, 29
62.4, 28
78.2, 26
36.8, 20
21.1, 17
29.8, 14
74.7, 8
49.6, 7
53.1, 5

Structure:
abc: 4.2100 4.2100 8.5674
angles: 90.00 90.00 90.00
Positions (direct):
Li: 0.0000 0.0000 0.0000
Mg: 0.0000 0.0000 0.5000
Mg: 0.0000 0.5000 0.2478
Mg: 0.0000 0.5000 0.7522
Mg: 0.5000 0.0000 0.2478
Mg: 0.5000 0.0000 0.7522
Mg: 0.5000 0.5000 0.5000
Fe: 0.5000 0.5000 0.0000
O: 0.0000 0.0000 0.2571
O: 0.0000 0.0000 0.7429
O: 0.0000 0.5000 0.0000
O: 0.0000 0.5000 0.5000
O: 0.5000 0.0000 0.0000
O: 0.5000 0.0000 0.5000
O: 0.5000 0.5000 0.2405
O: 0.5000 0.5000 0.7595

Please write out number 1 again, unchanged.
This entry pairs a crystal structure of LiMgFe10O16 with its theoretical PXRD pattern. Radiation: Cu Kα X-rays. Structure: DFT lattice parameters and positions (PBE+U).

Peak list (12 most intense, 10° ≤ 2θ ≤ 90°, most intense first)
2theta, I (rel.)
35.7, 100
30.3, 29
43.4, 24
63.2, 24
57.5, 23
63.0, 22
18.4, 21
57.4, 13
74.7, 8
53.9, 8
37.4, 7
17.7, 6

Structure:
abc: 10.2224 10.2224 10.2224
angles: 33.47 33.47 33.47
Positions (direct):
Li: 0.0000 0.0000 0.0000
Mg: 0.1909 0.1909 0.1909
Fe: 0.2475 0.2475 0.7523
Fe: 0.2475 0.7523 0.2475
Fe: 0.2528 0.7515 0.7515
Fe: 0.3091 0.3091 0.3091
Fe: 0.5020 0.5020 0.5020
Fe: 0.6915 0.6915 0.6915
Fe: 0.7523 0.2475 0.2475
Fe: 0.7515 0.2528 0.7515
Fe: 0.7515 0.7515 0.2528
Fe: 0.8108 0.8108 0.8108
O: 0.1116 0.1116 0.6426
O: 0.1116 0.6426 0.1116
O: 0.1198 0.1198 0.1198
O: 0.1388 0.6110 0.6110
O: 0.3579 0.8896 0.8896
O: 0.3786 0.3786 0.3786
O: 0.3945 0.3945 0.8570
O: 0.3945 0.8570 0.3945
O: 0.6110 0.1388 0.6110
O: 0.6110 0.6110 0.1388
O: 0.6241 0.6241 0.6241
O: 0.6426 0.1116 0.1116
O: 0.8570 0.3945 0.3945
O: 0.8785 0.8785 0.8785
O: 0.8896 0.3579 0.8896
O: 0.8896 0.8896 0.3579